For CoPO4, a GGA+U-relaxed structure gives the simulated XRD peak list in this record (copper Kα).

Crystal structure
```
data_CoPO4
_chemical_formula_sum 'Co2 P2 O8'
_space_group_name_H-M_alt 'I -4'
_space_group_IT_number 82
_space_group_name_Hall 'I -4'
_cell_length_a 4.7559
_cell_length_b 4.7559
_cell_length_c 7.1876
_cell_angle_alpha 90.00
_cell_angle_beta 90.00
_cell_angle_gamma 90.00
loop_
_atom_site_label
_atom_site_type_symbol
_atom_site_fract_x
_atom_site_fract_y
_atom_site_fract_z
Co1 Co 0.0000 0.0000 0.0000
P1 P 0.0000 0.5000 0.2500
O1 O 0.1683 0.7164 0.1347
```

Top 10 peaks for 10° ≤ 2θ ≤ 80°, low angle first:
| hkl | 2θ (°) | I (rel.) |
| --- | --- | --- |
| 1 0 1 | 22.42 | 100 |
| 1 1 2 | 36.60 | 44 |
| 1 0 3 | 42.24 | 8 |
| 2 1 1 | 44.42 | 17 |
| 2 2 0 | 54.58 | 8 |
| 1 2 3 | 57.98 | 13 |
| 2 0 4 | 65.06 | 10 |
| 1 3 2 | 67.51 | 9 |
| 3 0 3 | 71.34 | 4 |
| 3 2 1 | 72.91 | 7 |